The following is a theoretical X-ray diffraction stick pattern of Ho6Er4Zr. It was derived from a cell relaxed with PBE, using Cu Kα.
Peak positions follow from Bragg's law for the DFT cell and can differ from measured ones.

Cell and atoms:
a = 8.676 Å, b = 8.676 Å, c = 8.818 Å
α = 90.00°, β = 90.00°, γ = 90.00°
Space group P4/mnc (No. 128)
Inequivalent atoms, fractional coordinates:
Ho1 0.000 0.000 0.174 x4
Ho2 0.151 0.346 0.500 x8
Er1 0.146 0.646 0.250 x8
Zr1 0.000 0.000 0.500 x2

Most intense lines, 10° ≤ 2θ ≤ 90°, by intensity:
- 2θ = 30.7°, I 1000, (2 1 2)
- 2θ = 32.6°, I 557, (3 1 0)
- 2θ = 61.3°, I 215, (5 2 2)
- 2θ = 53.3°, I 109, (3 1 4)
- 2θ = 47.9°, I 104, (4 1 2)
- 2θ = 68.2°, I 102, (2 1 6)
- 2θ = 40.9°, I 96, (0 0 4)
- 2θ = 61.9°, I 95, (3 3 4)
- 2θ = 38.4°, I 90, (2 1 3)
- 2θ = 59.8°, I 89, (4 0 4)